# TaNbOs2
Theoretical powder X-ray diffraction pattern, Cu Kα (λ = 1.5418 Å). Input: DFT lattice parameters and positions (PBE).

abc: 6.144 5.547 5.543
angles: 67.28 56.40 56.33
Atoms (fractional coordinates):
Ta: 0.242 0.242 0.758
Ta: 0.758 0.758 0.242
Nb: 0.241 0.759 0.241
Nb: 0.759 0.241 0.759
Os: 0.250 0.250 0.250
Os: 0.274 0.726 0.726
Os: 0.726 0.274 0.274
Os: 0.750 0.750 0.750

Top 10 peaks for 10° ≤ 2θ ≤ 90°, sorted by position:
2θ 20.4, rel. 4
2θ 29.1, rel. 3
2θ 33.2, rel. 3
2θ 39.3, rel. 100
2θ 41.6, rel. 44
2θ 53.1, rel. 10
2θ 60.3, rel. 15
2θ 69.6, rel. 17
2θ 74.3, rel. 31
2θ 84.5, rel. 10